1.
For Th2Ni17, a PBE-relaxed structure gives the simulated powder XRD pattern in this record (Cu Ka).
No peak broadening, texture or thermal motion is included.

The 10 most intense peaks (10° ≤ 2θ ≤ 80°), low angle first:
2θ/deg  I/Imax
30.88  55
37.38  45
41.93  37
43.44  62
43.83  100
45.01  29
47.51  17
63.42  21
64.33  19
79.73  17

Structure:
abc: 8.333 8.333 8.057
angles: 90.00 90.00 120.00
Fractional positions:
Th (0.000, 0.000, 0.250)
Th (0.000, 0.000, 0.750)
Th (0.333, 0.667, 0.250)
Th (0.667, 0.333, 0.750)
Ni (0.000, 0.500, 0.000)
Ni (0.000, 0.500, 0.500)
Ni (0.045, 0.373, 0.750)
Ni (0.045, 0.672, 0.750)
Ni (0.166, 0.331, 0.021)
Ni (0.166, 0.331, 0.479)
Ni (0.166, 0.834, 0.021)
Ni (0.166, 0.834, 0.479)
Ni (0.328, 0.373, 0.750)
Ni (0.328, 0.955, 0.750)
Ni (0.331, 0.166, 0.521)
Ni (0.331, 0.166, 0.979)
Ni (0.333, 0.667, 0.602)
Ni (0.333, 0.667, 0.898)
Ni (0.373, 0.045, 0.250)
Ni (0.373, 0.328, 0.250)
Ni (0.500, 0.000, 0.000)
Ni (0.500, 0.000, 0.500)
Ni (0.500, 0.500, 0.000)
Ni (0.500, 0.500, 0.500)
Ni (0.627, 0.672, 0.750)
Ni (0.627, 0.955, 0.750)
Ni (0.667, 0.333, 0.102)
Ni (0.667, 0.333, 0.398)
Ni (0.669, 0.834, 0.021)
Ni (0.669, 0.834, 0.479)
Ni (0.672, 0.045, 0.250)
Ni (0.672, 0.627, 0.250)
Ni (0.834, 0.166, 0.521)
Ni (0.834, 0.166, 0.979)
Ni (0.834, 0.669, 0.521)
Ni (0.834, 0.669, 0.979)
Ni (0.955, 0.328, 0.250)
Ni (0.955, 0.627, 0.250)



2.
For W8Au2C3N3, a PBE-relaxed structure gives the simulated powder XRD pattern in this record (Cu Ka).
No peak broadening, texture or thermal motion is included.

The 10 most intense peaks (10° ≤ 2θ ≤ 80°), low angle first:
2θ/deg  I/Imax
33.49  43
36.69  73
38.19  54
38.50  100
40.62  97
54.75  20
59.45  55
72.89  51
73.25  20
74.50  16

Structure:
abc: 3.109 3.109 23.566
angles: 90.00 90.00 120.00
Fractional positions:
W (0.000, 0.000, 0.153)
W (0.000, 0.000, 0.347)
W (0.000, 0.000, 0.653)
W (0.000, 0.000, 0.847)
W (0.333, 0.667, 0.057)
W (0.333, 0.667, 0.449)
W (0.667, 0.333, 0.551)
W (0.667, 0.333, 0.943)
Au (0.333, 0.667, 0.251)
Au (0.667, 0.333, 0.749)
C (0.000, 0.000, 0.000)
C (0.333, 0.667, 0.890)
C (0.667, 0.333, 0.110)
N (0.000, 0.000, 0.500)
N (0.333, 0.667, 0.604)
N (0.667, 0.333, 0.396)



3.
For NdHfTc4, a PBE-relaxed structure gives the simulated powder XRD pattern in this record (Cu Ka).
No peak broadening, texture or thermal motion is included.

The 10 most intense peaks (10° ≤ 2θ ≤ 80°), low angle first:
2θ/deg  I/Imax
23.65  100
24.69  76
29.50  40
35.19  83
42.06  61
42.84  41
43.31  56
43.46  34
55.97  82
78.81  42

Structure:
abc: 7.212 7.524 5.101
angles: 90.00 90.00 90.00
Fractional positions:
Nd (0.000, 0.000, 0.000)
Nd (0.500, 0.500, 0.000)
Hf (0.000, 0.500, 0.500)
Hf (0.500, 0.000, 0.500)
Tc (0.000, 0.356, 0.000)
Tc (0.000, 0.644, 0.000)
Tc (0.159, 0.000, 0.500)
Tc (0.341, 0.500, 0.500)
Tc (0.500, 0.144, 0.000)
Tc (0.500, 0.856, 0.000)
Tc (0.659, 0.500, 0.500)
Tc (0.841, 0.000, 0.500)



4.
For Er2TmSi4Ni4, a PBE-relaxed structure gives the simulated powder XRD pattern in this record (Cu Ka).
No peak broadening, texture or thermal motion is included.

The 10 most intense peaks (10° ≤ 2θ ≤ 80°), low angle first:
2θ/deg  I/Imax
23.21  27
24.40  34
29.45  24
36.12  98
36.74  35
37.93  100
41.02  21
45.28  34
46.52  35
66.93  23

Structure:
abc: 7.629 7.629 7.629
angles: 149.56 129.27 60.33
Fractional positions:
Er (0.129, 0.129, 0.000)
Er (0.871, 0.871, 0.000)
Tm (0.500, 0.000, 0.500)
Si (0.188, 0.500, 0.688)
Si (0.282, 0.782, 0.500)
Si (0.718, 0.218, 0.500)
Si (0.812, 0.500, 0.312)
Ni (0.128, 0.324, 0.804)
Ni (0.480, 0.676, 0.804)
Ni (0.520, 0.324, 0.196)
Ni (0.872, 0.676, 0.196)



5.
For NaZr2CdF11, a PBE-relaxed structure gives the simulated powder XRD pattern in this record (Cu Ka).
No peak broadening, texture or thermal motion is included.

The 10 most intense peaks (10° ≤ 2θ ≤ 80°), low angle first:
2θ/deg  I/Imax
18.87  59
22.73  91
26.79  100
27.16  61
34.31  38
35.70  26
36.49  24
47.25  28
47.76  38
52.85  23

Structure:
abc: 5.371 5.371 7.738
angles: 108.01 108.01 75.38
Fractional positions:
Na (0.000, 0.000, 0.000)
Zr (0.468, 0.468, 0.758)
Zr (0.532, 0.532, 0.242)
Cd (0.000, 0.000, 0.500)
F (0.112, 0.688, 0.659)
F (0.224, 0.224, 0.758)
F (0.281, 0.281, 0.136)
F (0.312, 0.888, 0.341)
F (0.319, 0.681, 0.000)
F (0.500, 0.500, 0.500)
F (0.681, 0.319, 0.000)
F (0.688, 0.112, 0.659)
F (0.719, 0.719, 0.864)
F (0.776, 0.776, 0.242)
F (0.888, 0.312, 0.341)



6.
For Ho2Sc2CClF4, a PBE-relaxed structure gives the simulated powder XRD pattern in this record (Cu Ka).
No peak broadening, texture or thermal motion is included.

The 10 most intense peaks (10° ≤ 2θ ≤ 80°), low angle first:
2θ/deg  I/Imax
12.38  34
13.56  100
24.90  19
27.08  37
27.31  24
33.42  26
35.38  61
38.78  20
41.48  21
53.92  22

Structure:
abc: 7.183 7.183 7.641
angles: 110.03 110.03 27.40
Fractional positions:
Ho (0.009, 0.009, 0.218)
Ho (0.991, 0.991, 0.782)
Sc (0.335, 0.335, 0.902)
Sc (0.665, 0.665, 0.098)
C (0.500, 0.500, 0.000)
Cl (0.500, 0.500, 0.500)
F (0.174, 0.174, 0.905)
F (0.190, 0.190, 0.284)
F (0.810, 0.810, 0.716)
F (0.826, 0.826, 0.095)



7.
For Sr2Cu5F14, a PBE-relaxed structure gives the simulated powder XRD pattern in this record (Cu Ka).
No peak broadening, texture or thermal motion is included.

The 10 most intense peaks (10° ≤ 2θ ≤ 80°), low angle first:
2θ/deg  I/Imax
27.68  100
29.73  72
29.91  80
30.61  53
33.68  75
34.77  59
39.02  62
40.87  47
41.25  40
60.72  39

Structure:
abc: 9.316 9.316 9.910
angles: 116.02 116.02 40.17
Fractional positions:
Sr (0.047, 0.285, 0.131)
Sr (0.285, 0.047, 0.631)
Sr (0.715, 0.953, 0.369)
Sr (0.953, 0.715, 0.869)
Cu (0.128, 0.872, 0.750)
Cu (0.208, 0.427, 0.504)
Cu (0.324, 0.599, 0.358)
Cu (0.401, 0.676, 0.142)
Cu (0.427, 0.208, 0.004)
Cu (0.573, 0.792, 0.996)
Cu (0.599, 0.324, 0.858)
Cu (0.676, 0.401, 0.642)
Cu (0.792, 0.573, 0.496)
Cu (0.872, 0.128, 0.250)
F (0.024, 0.744, 0.588)
F (0.028, 0.890, 0.356)
F (0.110, 0.972, 0.144)
F (0.136, 0.340, 0.886)
F (0.144, 0.410, 0.651)
F (0.216, 0.492, 0.355)
F (0.256, 0.976, 0.912)
F (0.272, 0.565, 0.101)
F (0.302, 0.622, 0.861)
F (0.340, 0.136, 0.386)
F (0.378, 0.698, 0.639)
F (0.410, 0.144, 0.151)
F (0.435, 0.728, 0.399)
F (0.492, 0.216, 0.855)
F (0.508, 0.784, 0.145)
F (0.565, 0.272, 0.601)
F (0.590, 0.856, 0.849)
F (0.622, 0.302, 0.361)
F (0.660, 0.864, 0.614)
F (0.698, 0.378, 0.139)
F (0.728, 0.435, 0.899)
F (0.744, 0.024, 0.088)
F (0.784, 0.508, 0.645)
F (0.856, 0.590, 0.349)
F (0.864, 0.660, 0.114)
F (0.890, 0.028, 0.856)
F (0.972, 0.110, 0.644)
F (0.976, 0.256, 0.412)



8.
For InNi3As, a PBE-relaxed structure gives the simulated powder XRD pattern in this record (Cu Ka).
No peak broadening, texture or thermal motion is included.

The 10 most intense peaks (10° ≤ 2θ ≤ 80°), low angle first:
2θ/deg  I/Imax
30.93  45
32.26  25
34.06  39
39.50  34
43.59  42
44.04  100
45.03  48
46.52  86
64.47  21
67.48  16

Structure:
abc: 8.306 6.636 5.066
angles: 90.00 90.00 90.00
Fractional positions:
In (0.099, 0.103, 0.250)
In (0.099, 0.397, 0.750)
In (0.901, 0.603, 0.250)
In (0.901, 0.897, 0.750)
Ni (0.154, 0.750, 0.000)
Ni (0.154, 0.750, 0.500)
Ni (0.366, 0.250, 0.000)
Ni (0.366, 0.250, 0.500)
Ni (0.394, 0.586, 0.750)
Ni (0.394, 0.914, 0.250)
Ni (0.606, 0.086, 0.750)
Ni (0.606, 0.414, 0.250)
Ni (0.634, 0.750, 0.000)
Ni (0.634, 0.750, 0.500)
Ni (0.846, 0.250, 0.000)
Ni (0.846, 0.250, 0.500)
As (0.345, 0.556, 0.250)
As (0.345, 0.944, 0.750)
As (0.655, 0.056, 0.250)
As (0.655, 0.444, 0.750)